# 1
For SrBiB, a cell relaxed with PBE gives the calculated PXRD pattern in this record (Cu Kα (weighted mean of Kα1 and Kα2)).
Intensities are scaled so that the largest is 100.

Top 10 peaks for 2θ from 10° to 90°, sorted by position:
20.8 deg, I = 100, (1 1 1); 24.1 deg, I = 12, (2 0 0); 34.3 deg, I = 82, (2 2 0); 40.5 deg, I = 57, (3 1 1); 49.4 deg, I = 15, (4 0 0); 54.1 deg, I = 25, (3 3 1); 61.5 deg, I = 31, (4 2 2); 65.7 deg, I = 19, (5 1 1); 76.3 deg, I = 19, (5 3 1); 82.6 deg, I = 14, (6 2 0)

Atomic structure:
Unit cell a=7.3865 b=7.3865 c=7.3865 alpha=90.00 beta=90.00 gamma=90.00
Space group F-43m (No. 216)
Asymmetric unit:
Sr: 0.0000 0.0000 0.0000
Bi: 0.2500 0.2500 0.2500
B: 0.0000 0.0000 0.5000

---

# 2
For BiBTe, a cell relaxed with PBE gives the calculated PXRD pattern in this record (Cu Kα (weighted mean of Kα1 and Kα2)).
Intensities are scaled so that the largest is 100.

Top 10 peaks for 2θ from 10° to 90°, sorted by position:
23.2 deg, I = 12, (1 1 1); 26.9 deg, I = 100, (2 0 0); 38.4 deg, I = 88, (2 2 0); 45.4 deg, I = 7, (3 1 1); 47.5 deg, I = 29, (2 2 2); 55.4 deg, I = 15, (4 0 0); 62.6 deg, I = 39, (4 2 0); 69.4 deg, I = 31, (4 2 2); 82.2 deg, I = 10, (4 4 0); 88.4 deg, I = 20, (6 0 0)

Atomic structure:
Unit cell a=6.6321 b=6.6321 c=6.6321 alpha=90.00 beta=90.00 gamma=90.00
Space group F-43m (No. 216)
Asymmetric unit:
Bi: 0.0000 0.0000 0.0000
B: 0.2500 0.2500 0.2500
Te: 0.0000 0.0000 0.5000